Diffraction record for Li5Co2O6. The PXRD pattern is theoretical, not measured: it uses a cell relaxed with PBE+U and Cu Kα, 1.54184 Å.
Intensities are scaled so that the largest is 100.

Structural model:
```
13
Lattice="5.351 0.000 0.000 0.205 5.561 0.000 2.617 0.009 4.913" Properties=species:S:1:pos:R:3 pbc="T T T"
Li 0.000 0.000 0.000
Li 1.790 3.889 2.976
Li 4.319 5.183 2.962
Li 5.357 3.947 4.843
Li 5.776 1.330 3.355
Co 2.563 0.961 1.387
Co 4.494 2.777 1.488
O 2.103 0.240 2.951
O 2.618 2.891 1.535
O 4.668 0.296 4.721
O 5.228 3.380 2.994
O 4.603 0.925 1.537
O 4.864 3.668 0.026
```

The 12 most intense peaks (15 to 90 degrees two-theta), by angle:
2θ (°)	I_rel	index
15.94	23	0 1 0
18.05	100	0 0 1
18.80	31	1 0 0
18.99	21	1 0 1
24.18	52	0 1 -1
25.13	65	1 -1 0
25.30	35	1 -1 1
32.20	38	0 2 0
33.52	37	2 0 1
37.05	19	1 2 1
40.13	17	0 1 -2
48.08	15	2 -2 1